[1]
Computed X-ray diffraction stick pattern of Sm2ZrPaN4 for Cu Kα X-rays, from a GGA-PBE-relaxed structure.
Neutral-atom scattering factors, no anomalous dispersion.

Atomic structure:
```
Sm2ZrPaN4
1.0
5.9790 0.0000 0.0000
0.0000 3.4746 0.0000
-1.9683 0.0000 5.7231
Sm Zr Pa N
2 1 1 4
Cartesian
0.0000 0.0000 0.0000
2.9895 1.7373 0.0000
-0.9841 1.7373 2.8616
2.0054 0.0000 2.8616
0.0213 0.0000 4.1096
0.9729 1.7373 1.5948
3.0378 1.7373 4.1283
3.9894 0.0000 1.6136
```

Largest 10 diffraction maxima, in order of rising 2θ, 2θ from 10° to 90°:
(0 0 2), 31.26°, I 347; (2 0 0), 31.60°, I 1000; (1 1 1), 36.47°, I 646; (2 0 -2), 36.71°, I 317; (2 0 2), 52.42°, I 332; (0 2 0), 52.69°, I 111; (3 1 -1), 52.97°, I 218; (2 0 -4), 62.53°, I 154; (3 1 1), 62.73°, I 200; (2 2 -2), 65.93°, I 111

---

[2]
Computed X-ray diffraction stick pattern of CsAlBP2HO9 for Cu Kα X-rays, from a GGA-PBE-relaxed structure.
Neutral-atom scattering factors, no anomalous dispersion.

Atomic structure:
```
CsAlBP2HO9
1.0
9.3797 0.0000 0.0000
0.0000 8.9013 0.0000
-2.5048 0.0000 9.2570
Cs Al B P H O
4 4 4 8 4 36
Cartesian
1.6987 1.0793 0.5525
0.4463 3.3713 5.1810
6.4286 5.5300 4.0760
5.1762 7.8220 8.7045
-0.5216 5.8444 8.6085
0.7308 7.5076 3.9800
6.1440 1.3937 5.2770
7.3965 3.0570 0.6485
1.4839 0.2449 6.5083
2.7364 4.2058 1.8798
4.1385 4.6955 7.3772
5.3909 8.6565 2.7487
0.1601 5.1002 1.8772
-1.0924 8.2517 6.5057
2.0363 6.4503 6.6685
3.2887 6.9016 2.0400
3.5862 1.9997 7.2170
4.8386 2.4510 2.5885
7.9672 0.6496 2.7513
6.7148 3.8011 7.3798
2.4076 0.3685 4.6375
3.6600 4.0822 0.0090
3.2149 4.8191 9.2480
4.4673 8.5328 4.6195
-1.3597 4.5941 7.4708
-0.1073 8.7579 2.8423
0.5360 5.8226 0.5778
-0.7164 7.5294 5.2063
0.0176 6.0560 3.0717
-1.2348 7.2960 7.7002
0.0699 0.3820 6.8645
1.3224 4.0687 2.2360
1.5307 0.1724 5.0091
2.7831 4.2782 0.3806
1.6892 6.3532 5.1888
2.9416 6.9988 0.5603
1.0872 5.6646 7.5742
2.3396 7.6874 2.9457
2.1247 1.4739 6.9939
3.3772 2.9767 2.3654
3.3967 5.3924 2.4845
2.1442 7.9596 7.1130
4.7306 0.9417 2.1440
3.4782 3.5090 6.7725
3.4977 5.9246 6.8916
4.7501 7.4274 2.2631
4.5352 1.2139 6.3113
5.7877 3.2367 1.6828
3.9333 1.9026 8.6968
5.1857 2.5481 4.0682
4.0917 4.6231 8.8764
5.3442 8.7289 4.2479
5.5525 4.8326 7.0210
6.8049 8.5194 2.3925
8.1097 1.6053 1.5568
6.8573 2.8454 6.1853
7.5913 1.3720 4.0507
6.3388 3.0787 8.6792
6.9822 0.1434 6.4147
8.2346 4.3072 1.7862
```

Largest 10 diffraction maxima, in order of rising 2θ, 2θ from 10° to 90°:
(1 0 -2), 19.12°, I 469; (1 2 1), 25.28°, I 1000; (1 1 2), 25.82°, I 201; (2 2 -1), 28.00°, I 197; (1 1 -3), 29.79°, I 376; (3 1 -1), 30.36°, I 282; (2 0 2), 31.04°, I 218; (3 1 0), 31.27°, I 251; (2 2 1), 31.43°, I 198; (1 3 0), 31.71°, I 261

---

Please write out number 1 again, unchanged.
Computed X-ray diffraction stick pattern of Sm2ZrPaN4 for Cu Kα X-rays, from a GGA-PBE-relaxed structure.
Neutral-atom scattering factors, no anomalous dispersion.

Atomic structure:
```
Sm2ZrPaN4
1.0
5.9790 0.0000 0.0000
0.0000 3.4746 0.0000
-1.9683 0.0000 5.7231
Sm Zr Pa N
2 1 1 4
Cartesian
0.0000 0.0000 0.0000
2.9895 1.7373 0.0000
-0.9841 1.7373 2.8616
2.0054 0.0000 2.8616
0.0213 0.0000 4.1096
0.9729 1.7373 1.5948
3.0378 1.7373 4.1283
3.9894 0.0000 1.6136
```

Largest 10 diffraction maxima, in order of rising 2θ, 2θ from 10° to 90°:
(0 0 2), 31.26°, I 347; (2 0 0), 31.60°, I 1000; (1 1 1), 36.47°, I 646; (2 0 -2), 36.71°, I 317; (2 0 2), 52.42°, I 332; (0 2 0), 52.69°, I 111; (3 1 -1), 52.97°, I 218; (2 0 -4), 62.53°, I 154; (3 1 1), 62.73°, I 200; (2 2 -2), 65.93°, I 111